# BaAl4Ag2
Simulated powder XRD pattern, Cu Kα X-rays. Input: a crystal structure in Alexandria, relaxed with GGA-PBE.
No peak broadening, texture or thermal motion is included.

Cell and atoms:
```
data_BaAl4Ag2
_cell_length_a 4.503
_cell_length_b 15.258
_cell_length_c 4.503
_cell_angle_alpha 90.00
_cell_angle_beta 90.00
_cell_angle_gamma 90.00
_symmetry_space_group_name_H-M 'C m m m'
_symmetry_Int_Tables_number 65
_symmetry_space_group_name_Hall '-C 2 2'
loop_
_atom_site_label
_atom_site_type_symbol
_atom_site_fract_x
_atom_site_fract_y
_atom_site_fract_z
Ba1 Ba 0.000 0.000 0.000
Al1 Al 0.000 0.191 0.500
Al2 Al 0.000 0.306 0.000
Ag1 Ag 0.000 0.403 0.500
```

The 12 most intense peaks (2θ from 15° to 90°), sorted by position:
Position (°2θ)	d [Å]	intensity	(hkl)
26.4	3.371	29	1 3 0
28.6	3.117	100	1 1 1
30.7	2.911	52	0 4 1
33.2	2.699	25	1 3 1
35.5	2.526	46	1 5 0
40.0	2.251	56	2 0 0
40.7	2.214	25	0 6 1
41.0	2.203	19	1 5 1
51.3	1.781	24	2 4 1
54.6	1.681	26	1 5 2
57.9	1.592	18	2 0 2
65.9	1.418	18	3 1 1